Computed powder X-ray diffraction pattern
Compound: Tb2ThIn6
Radiation: Cu Kα (λ = 1.5418 Å)
Structure: a structure optimized by DFT (PBE)
Neutral-atom scattering factors, no anomalous dispersion.

Main lines, by angle (2θ from 5° to 70°):
d = 7.593 Å, 11.65°, intensity 2
d = 4.384 Å, 20.26°, intensity 7
d = 2.753 Å, 32.52°, intensity 100
d = 2.531 Å, 35.47°, intensity 77
d = 2.058 Å, 43.99°, intensity 1
d = 1.863 Å, 48.88°, intensity 32
d = 1.769 Å, 51.68°, intensity 9
d = 1.500 Å, 61.83°, intensity 31
d = 1.461 Å, 63.68°, intensity 14
d = 1.450 Å, 64.25°, intensity 27

Atomic structure:
Cell: 8.7677 8.7677 3.5375 Å, 90.00 90.00 120.00°
Fractional positions:
Tb 0.3333 0.6667 0.0000
Tb 0.6667 0.3333 0.0000
Th 0.0000 0.0000 0.0000
In 0.0000 0.3361 0.5000
In 0.0000 0.6639 0.5000
In 0.3361 0.0000 0.5000
In 0.3361 0.3361 0.5000
In 0.6639 0.0000 0.5000
In 0.6639 0.6639 0.5000

Computed powder X-ray diffraction pattern
Compound: Tb2ThIn3
Radiation: Cu Kα (λ = 1.5418 Å)
Structure: a structure optimized by DFT (PBE)
Neutral-atom scattering factors, no anomalous dispersion.

Main lines, by angle (2θ from 5° to 70°):
d = 4.369 Å, 20.33°, intensity 3
d = 3.542 Å, 25.14°, intensity 4
d = 2.752 Å, 32.54°, intensity 100
d = 2.505 Å, 35.85°, intensity 39
d = 2.185 Å, 41.33°, intensity 13
d = 1.771 Å, 51.61°, intensity 14
d = 1.646 Å, 55.84°, intensity 21
d = 1.489 Å, 62.35°, intensity 31
d = 1.376 Å, 68.16°, intensity 11
d = 1.347 Å, 69.83°, intensity 10

Atomic structure:
Cell: 3.5422 3.5422 13.1072 Å, 90.00 90.00 90.00°
Fractional positions:
Tb 0.0000 0.0000 0.1623
Tb 0.0000 0.0000 0.8377
Th 0.0000 0.0000 0.5000
In 0.5000 0.5000 0.0000
In 0.5000 0.5000 0.3255
In 0.5000 0.5000 0.6745

Computed powder X-ray diffraction pattern
Compound: Tb3Th2In3
Radiation: Cu Kα (λ = 1.5418 Å)
Structure: a structure optimized by DFT (PBE)
Neutral-atom scattering factors, no anomalous dispersion.

Main lines, by angle (2θ from 5° to 70°):
d = 2.797 Å, 31.99°, intensity 100
d = 2.550 Å, 35.20°, intensity 18
d = 2.457 Å, 36.57°, intensity 18
d = 2.284 Å, 39.46°, intensity 14
d = 1.769 Å, 51.66°, intensity 12
d = 1.701 Å, 53.90°, intensity 11
d = 1.673 Å, 54.88°, intensity 11
d = 1.515 Å, 61.16°, intensity 14
d = 1.476 Å, 62.98°, intensity 14
d = 1.399 Å, 66.90°, intensity 23

Atomic structure:
Cell: 10.7366 10.7366 10.7366 Å, 155.44 153.54 36.41°
Fractional positions:
Tb 0.0000 0.0000 0.0000
Tb 0.3813 0.8813 0.5000
Tb 0.6187 0.1187 0.5000
Th 0.2432 0.2432 0.0000
Th 0.7568 0.7568 0.0000
In 0.1219 0.6219 0.5000
In 0.5000 0.5000 0.0000
In 0.8781 0.3781 0.5000

Computed powder X-ray diffraction pattern
Compound: Tb2TiIn
Radiation: Cu Kα (λ = 1.5418 Å)
Structure: a structure optimized by DFT (PBE)
Neutral-atom scattering factors, no anomalous dispersion.

Main lines, by angle (2θ from 5° to 70°):
d = 4.305 Å, 20.63°, intensity 5
d = 3.728 Å, 23.87°, intensity 12
d = 2.636 Å, 34.01°, intensity 100
d = 2.248 Å, 40.11°, intensity 3
d = 2.152 Å, 41.98°, intensity 4
d = 1.864 Å, 48.86°, intensity 18
d = 1.711 Å, 53.58°, intensity 1
d = 1.667 Å, 55.08°, intensity 5
d = 1.522 Å, 60.87°, intensity 36
d = 1.435 Å, 64.99°, intensity 1

Atomic structure:
Cell: 5.2722 5.2722 5.2722 Å, 60.00 60.00 60.00°
Fractional positions:
Tb 0.2500 0.2500 0.2500
Tb 0.7500 0.7500 0.7500
Ti 0.0000 0.0000 0.0000
In 0.5000 0.5000 0.5000

Computed powder X-ray diffraction pattern
Compound: Tb15TlIn4
Radiation: Cu Kα (λ = 1.5418 Å)
Structure: a structure optimized by DFT (PBE)
Neutral-atom scattering factors, no anomalous dispersion.

Main lines, by angle (2θ from 5° to 70°):
d = 2.807 Å, 31.89°, intensity 100
d = 2.437 Å, 36.88°, intensity 17
d = 2.427 Å, 37.03°, intensity 33
d = 1.720 Å, 53.26°, intensity 24
d = 1.716 Å, 53.38°, intensity 12
d = 1.469 Å, 63.33°, intensity 14
d = 1.464 Å, 63.53°, intensity 28
d = 1.403 Å, 66.64°, intensity 12

Atomic structure:
Cell: 4.8548 4.8548 24.3718 Å, 90.00 90.00 90.00°
Fractional positions:
Tb 0.0000 0.0000 0.0000
Tb 0.0000 0.0000 0.2001
Tb 0.0000 0.0000 0.4000
Tb 0.0000 0.0000 0.6000
Tb 0.0000 0.0000 0.7999
Tb 0.0000 0.5000 0.1007
Tb 0.0000 0.5000 0.3000
Tb 0.0000 0.5000 0.5000
Tb 0.0000 0.5000 0.7000
Tb 0.0000 0.5000 0.8993
Tb 0.5000 0.0000 0.1007
Tb 0.5000 0.0000 0.3000
Tb 0.5000 0.0000 0.5000
Tb 0.5000 0.0000 0.7000
Tb 0.5000 0.0000 0.8993
Tl 0.5000 0.5000 0.0000
In 0.5000 0.5000 0.1999
In 0.5000 0.5000 0.4000
In 0.5000 0.5000 0.6000
In 0.5000 0.5000 0.8001

Computed powder X-ray diffraction pattern
Compound: Tb3Tl2In2
Radiation: Cu Kα (λ = 1.5418 Å)
Structure: a structure optimized by DFT (PBE)
Neutral-atom scattering factors, no anomalous dispersion.

Main lines, by angle (2θ from 5° to 70°):
d = 2.793 Å, 32.05°, intensity 100
d = 2.683 Å, 33.40°, intensity 91
d = 2.609 Å, 34.38°, intensity 55
d = 2.308 Å, 39.03°, intensity 32
d = 2.239 Å, 40.28°, intensity 17
d = 1.775 Å, 51.49°, intensity 15
d = 1.728 Å, 52.98°, intensity 32
d = 1.501 Å, 61.79°, intensity 22
d = 1.480 Å, 62.77°, intensity 29
d = 1.407 Å, 66.46°, intensity 14

Atomic structure:
Cell: 11.7687 11.7687 3.5495 Å, 90.00 90.00 157.38°
Fractional positions:
Tb 0.0000 0.0000 0.0000
Tb 0.1552 0.8448 0.0000
Tb 0.8448 0.1552 0.0000
Tl 0.4269 0.5731 0.5000
Tl 0.5731 0.4269 0.5000
In 0.2867 0.7133 0.5000
In 0.7133 0.2867 0.5000